Structure and theoretical X-ray powder pattern of Cs2GePtBr6 (a structure optimized by DFT (GGA-PBE); λ = 1.5418 Å (Cu Kα)).
Peak positions follow from Bragg's law for the DFT cell and can differ from measured ones.

Largest 10 diffraction maxima, in order of falling intensity, 5° ≤ 2θ ≤ 70°:
| d/Å | Position (°2θ) | I (rel.) |
| --- | --- | --- |
| 2.721 | 32.9 | 100 |
| 1.924 | 47.2 | 71 |
| 3.848 | 23.1 | 62 |
| 3.142 | 28.4 | 45 |
| 2.222 | 40.6 | 28 |
| 1.571 | 58.8 | 25 |
| 1.641 | 56.0 | 18 |
| 6.284 | 14.1 | 17 |
| 5.442 | 16.3 | 16 |
| 1.454 | 64.0 | 15 |

Crystal structure
Cell lengths 7.697, 7.697, 7.697 Å; angles 120.03, 120.03, 89.94 degrees
Positions (direct):
1 Cs 0.250 0.750 0.500
2 Cs 0.750 0.250 0.500
3 Ge 0.000 0.000 0.000
4 Pt 0.500 0.500 0.000
5 Br 0.256 0.256 0.511
6 Br 0.256 0.744 0.000
7 Br 0.257 0.257 0.000
8 Br 0.743 0.743 0.000
9 Br 0.744 0.256 0.000
10 Br 0.744 0.744 0.489



Structure and theoretical X-ray powder pattern of Cs2SrGeBr6 (a structure optimized by DFT (GGA-PBE); λ = 1.5418 Å (Cu Kα)).
Peak positions follow from Bragg's law for the DFT cell and can differ from measured ones.

Largest 10 diffraction maxima, in order of falling intensity, 5° ≤ 2θ ≤ 70°:
| d/Å | Position (°2θ) | I (rel.) |
| --- | --- | --- |
| 3.370 | 26.4 | 100 |
| 2.064 | 43.9 | 88 |
| 2.923 | 30.6 | 84 |
| 4.128 | 21.5 | 48 |
| 2.911 | 30.7 | 39 |
| 1.685 | 54.4 | 30 |
| 1.762 | 51.9 | 30 |
| 2.383 | 37.7 | 21 |
| 1.757 | 52.1 | 12 |
| 1.461 | 63.7 | 10 |

Crystal structure
Cell lengths 5.845, 5.845, 11.644 Å; angles 90.00, 90.00, 90.00 degrees
Positions (direct):
1 Cs 0.000 0.000 0.235
2 Cs 0.000 0.000 0.765
3 Sr 0.500 0.500 0.500
4 Ge 0.500 0.500 0.000
5 Br 0.000 0.500 0.000
6 Br 0.000 0.500 0.500
7 Br 0.500 0.000 0.000
8 Br 0.500 0.000 0.500
9 Br 0.500 0.500 0.237
10 Br 0.500 0.500 0.763



Structure and theoretical X-ray powder pattern of Cs2TlGeBr6 (a structure optimized by DFT (GGA-PBE); λ = 1.5418 Å (Cu Kα)).
Peak positions follow from Bragg's law for the DFT cell and can differ from measured ones.

Largest 10 diffraction maxima, in order of falling intensity, 5° ≤ 2θ ≤ 70°:
| d/Å | Position (°2θ) | I (rel.) |
| --- | --- | --- |
| 2.863 | 31.2 | 100 |
| 2.035 | 44.5 | 71 |
| 3.317 | 26.9 | 64 |
| 4.069 | 21.8 | 63 |
| 2.892 | 30.9 | 50 |
| 1.659 | 55.4 | 37 |
| 2.025 | 44.8 | 36 |
| 4.049 | 21.9 | 31 |
| 2.342 | 38.4 | 29 |
| 1.728 | 53.0 | 18 |

Crystal structure
Cell lengths 5.727, 5.727, 11.566 Å; angles 90.00, 90.00, 90.00 degrees
Positions (direct):
1 Cs 0.000 0.000 0.239
2 Cs 0.000 0.000 0.761
3 Tl 0.500 0.500 0.500
4 Ge 0.500 0.500 0.000
5 Br 0.000 0.500 0.000
6 Br 0.000 0.500 0.500
7 Br 0.500 0.000 0.000
8 Br 0.500 0.000 0.500
9 Br 0.500 0.500 0.237
10 Br 0.500 0.500 0.763



Structure and theoretical X-ray powder pattern of CsH3Br (a structure optimized by DFT (GGA-PBE); λ = 1.5418 Å (Cu Kα)).
Peak positions follow from Bragg's law for the DFT cell and can differ from measured ones.

Largest 10 diffraction maxima, in order of falling intensity, 5° ≤ 2θ ≤ 70°:
| d/Å | Position (°2θ) | I (rel.) |
| --- | --- | --- |
| 4.270 | 20.8 | 100 |
| 2.293 | 39.3 | 63 |
| 3.262 | 27.3 | 54 |
| 5.648 | 15.7 | 51 |
| 3.430 | 26.0 | 46 |
| 3.221 | 27.7 | 39 |
| 2.581 | 34.8 | 36 |
| 2.364 | 38.1 | 35 |
| 4.844 | 18.3 | 29 |
| 2.502 | 35.9 | 28 |

Crystal structure
Cell lengths 5.757, 6.524, 6.993 Å; angles 90.00, 101.14, 90.00 degrees
Positions (direct):
1 Cs 0.214 0.250 0.298
2 Cs 0.786 0.750 0.702
3 H 0.259 0.750 0.472
4 H 0.452 0.026 0.964
5 H 0.452 0.474 0.964
6 H 0.548 0.526 0.036
7 H 0.548 0.974 0.036
8 H 0.741 0.250 0.528
9 Br 0.040 0.250 0.764
10 Br 0.960 0.750 0.236



Structure and theoretical X-ray powder pattern of CsHBr (a structure optimized by DFT (GGA-PBE); λ = 1.5418 Å (Cu Kα)).
Peak positions follow from Bragg's law for the DFT cell and can differ from measured ones.

Largest 10 diffraction maxima, in order of falling intensity, 5° ≤ 2θ ≤ 70°:
| d/Å | Position (°2θ) | I (rel.) |
| --- | --- | --- |
| 3.560 | 25.0 | 100 |
| 2.955 | 30.2 | 77 |
| 3.744 | 23.8 | 60 |
| 2.131 | 42.4 | 50 |
| 2.592 | 34.6 | 46 |
| 2.320 | 38.8 | 25 |
| 1.646 | 55.9 | 22 |
| 1.848 | 49.3 | 22 |
| 1.557 | 59.3 | 21 |
| 1.630 | 56.5 | 20 |

Crystal structure
Cell lengths 5.184, 5.184, 29.955 Å; angles 90.00, 90.00, 90.00 degrees
Positions (direct):
1 Cs 0.240 0.252 0.189
2 Cs 0.240 0.748 0.311
3 Cs 0.252 0.240 0.561
4 Cs 0.252 0.760 0.939
5 Cs 0.748 0.240 0.439
6 Cs 0.748 0.760 0.061
7 Cs 0.760 0.252 0.811
8 Cs 0.760 0.748 0.689
9 H 0.264 0.335 0.866
10 H 0.264 0.665 0.634
11 H 0.335 0.264 0.884
12 H 0.335 0.736 0.616
13 H 0.665 0.264 0.116
14 H 0.665 0.736 0.384
15 H 0.736 0.335 0.134
16 H 0.736 0.665 0.366
17 Br 0.242 0.254 0.059
18 Br 0.242 0.746 0.441
19 Br 0.254 0.242 0.691
20 Br 0.254 0.758 0.809
21 Br 0.746 0.242 0.309
22 Br 0.746 0.758 0.191
23 Br 0.758 0.254 0.941
24 Br 0.758 0.746 0.559



Structure and theoretical X-ray powder pattern of Cs2Hg2H2I4Br2O (a structure optimized by DFT (GGA-PBE); λ = 1.5418 Å (Cu Kα)).
Peak positions follow from Bragg's law for the DFT cell and can differ from measured ones.

Largest 10 diffraction maxima, in order of falling intensity, 5° ≤ 2θ ≤ 70°:
| d/Å | Position (°2θ) | I (rel.) |
| --- | --- | --- |
| 3.628 | 24.5 | 100 |
| 7.673 | 11.5 | 98 |
| 3.274 | 27.2 | 35 |
| 3.312 | 26.9 | 30 |
| 3.550 | 25.1 | 30 |
| 4.201 | 21.1 | 21 |
| 4.038 | 22.0 | 20 |
| 3.088 | 28.9 | 19 |
| 3.755 | 23.7 | 19 |
| 3.386 | 26.3 | 19 |

Crystal structure
Cell lengths 7.733, 14.229, 9.087 Å; angles 90.00, 95.24, 90.00 degrees
Positions (direct):
1 Cs 0.000 0.177 0.000
2 Cs 0.000 0.823 0.500
3 Cs 0.557 0.298 0.374
4 Cs 0.557 0.702 0.874
5 Hg 0.110 0.144 0.512
6 Hg 0.110 0.856 0.012
7 Hg 0.116 0.430 0.657
8 Hg 0.116 0.570 0.157
9 H 0.518 0.209 0.953
10 H 0.518 0.791 0.453
11 H 0.547 0.120 0.048
12 H 0.547 0.880 0.548
13 I 0.328 0.036 0.353
14 I 0.328 0.964 0.853
15 I 0.346 0.462 0.028
16 I 0.346 0.538 0.528
17 I 0.810 0.400 0.766
18 I 0.810 0.600 0.266
19 I 0.811 0.073 0.618
20 I 0.811 0.927 0.118
21 Br 0.033 0.305 0.348
22 Br 0.033 0.695 0.848
23 Br 0.313 0.251 0.725
24 Br 0.313 0.749 0.225
25 O 0.582 0.186 0.044
26 O 0.582 0.814 0.544



Structure and theoretical X-ray powder pattern of Cs2HIBr6 (a structure optimized by DFT (GGA-PBE); λ = 1.5418 Å (Cu Kα)).
Peak positions follow from Bragg's law for the DFT cell and can differ from measured ones.

Largest 10 diffraction maxima, in order of falling intensity, 5° ≤ 2θ ≤ 70°:
| d/Å | Position (°2θ) | I (rel.) |
| --- | --- | --- |
| 3.206 | 27.8 | 100 |
| 2.703 | 33.1 | 61 |
| 1.991 | 45.6 | 46 |
| 2.943 | 30.4 | 41 |
| 3.981 | 22.3 | 28 |
| 3.283 | 27.2 | 26 |
| 1.603 | 57.5 | 20 |
| 1.641 | 56.0 | 20 |
| 1.911 | 47.6 | 19 |
| 2.490 | 36.1 | 16 |

Crystal structure
Cell lengths 7.992, 7.992, 7.992 Å; angles 122.86, 122.86, 85.12 degrees
Positions (direct):
1 Cs 0.250 0.750 0.500
2 Cs 0.750 0.250 0.500
3 H 0.000 0.000 0.000
4 I 0.500 0.500 0.000
5 Br 0.218 0.218 0.436
6 Br 0.218 0.782 0.000
7 Br 0.271 0.271 0.000
8 Br 0.729 0.729 0.000
9 Br 0.782 0.218 0.000
10 Br 0.782 0.782 0.564



Structure and theoretical X-ray powder pattern of Cs2HI6Br (a structure optimized by DFT (GGA-PBE); λ = 1.5418 Å (Cu Kα)).
Peak positions follow from Bragg's law for the DFT cell and can differ from measured ones.

Largest 10 diffraction maxima, in order of falling intensity, 5° ≤ 2θ ≤ 70°:
| d/Å | Position (°2θ) | I (rel.) |
| --- | --- | --- |
| 3.514 | 25.3 | 100 |
| 3.135 | 28.5 | 53 |
| 1.875 | 48.6 | 28 |
| 2.217 | 40.7 | 18 |
| 2.070 | 43.7 | 17 |
| 2.120 | 42.7 | 14 |
| 2.756 | 32.5 | 11 |
| 4.239 | 21.0 | 11 |
| 2.877 | 31.1 | 10 |
| 1.583 | 58.3 | 8 |

Crystal structure
Cell lengths 8.510, 8.510, 8.510 Å; angles 117.20, 117.20, 94.92 degrees
Positions (direct):
1 Cs 0.250 0.750 0.500
2 Cs 0.750 0.250 0.500
3 H 0.000 0.000 0.000
4 I 0.167 0.167 0.000
5 I 0.273 0.273 0.547
6 I 0.273 0.727 0.000
7 I 0.727 0.273 0.000
8 I 0.727 0.727 0.453
9 I 0.833 0.833 0.000
10 Br 0.500 0.500 0.000